Ti2AlRh5: calculated XRD peak list (Cu Ka), based on a GGA-PBE-relaxed structure.
No peak broadening, texture or thermal motion is included.

Principal peaks in the range 15 to 90 degrees two-theta, low angle first:
(hkl)  d_spacing  I (rel.)
1 1 1  3.075  15
2 0 1  2.234  56
0 4 1  2.209  100
2 1 1  2.186  52
2 3 0  2.141  27
0 0 2  2.002  40
2 4 0  1.888  31
2 3 2  1.462  15
2 4 2  1.373  21
4 3 1  1.200  13

Atomic structure:
a = 5.384 Å, b = 10.591 Å, c = 4.004 Å
α = 90.00°, β = 90.00°, γ = 90.00°
Space group Pbam (No. 55)
One atom of each set of equivalent atoms:
Ti1 0.176 0.140 0.000 (multiplicity 4)
Al1 0.000 0.500 0.500 (multiplicity 2)
Rh1 0.000 0.000 0.500 (multiplicity 2)
Rh2 0.077 0.744 0.500 (multiplicity 4)
Rh3 0.189 0.390 0.000 (multiplicity 4)